# 1
RbTlZnH4: computed powder diffraction line list (copper Kα), based on a structure optimized by DFT (PBE).
Neutral-atom scattering factors, no anomalous dispersion.

Structural model:
Cell: 5.9542 10.4011 8.1214 Å, 90.00 90.00 90.00°
Space group Cmcm (No. 63)
One atom of each set of equivalent atoms:
Rb: 0.0000 0.1821 0.2500
Tl: 0.0000 0.5000 0.0000
Zn: 0.0000 0.1623 0.7500
H: 0.0000 0.2595 0.5883
H: 0.2292 0.0688 0.7500

The 8 most intense peaks (10 to 90 degrees two-theta), most intense first:
3.196 Å, 27.9 deg, I 100
2.996 Å, 29.8 deg, I 46
2.180 Å, 41.4 deg, I 25
2.977 Å, 30.0 deg, I 23
5.167 Å, 17.2 deg, I 21
1.681 Å, 54.6 deg, I 17
1.768 Å, 51.7 deg, I 14
1.757 Å, 52.0 deg, I 12



# 2
LaYLuCd: computed powder diffraction line list (copper Kα), based on a structure optimized by DFT (PBE).
Neutral-atom scattering factors, no anomalous dispersion.

Structural model:
Cell: 7.8138 7.8138 7.8138 Å, 90.00 90.00 90.00°
Space group F-43m (No. 216)
One atom of each set of equivalent atoms:
La: 0.0000 0.0000 0.0000
Y: 0.0000 0.0000 0.5000
Lu: 0.2500 0.2500 0.2500
Cd: 0.2500 0.2500 0.7500

The 8 most intense peaks (10 to 90 degrees two-theta), most intense first:
2.763 Å, 32.4 deg, I 100
1.595 Å, 57.8 deg, I 38
1.953 Å, 46.5 deg, I 18
1.235 Å, 77.2 deg, I 16
1.381 Å, 67.9 deg, I 12
4.511 Å, 19.7 deg, I 4
1.128 Å, 86.2 deg, I 4
2.356 Å, 38.2 deg, I 3



# 3
Nb6InTe8: computed powder diffraction line list (copper Kα), based on a structure optimized by DFT (PBE).
Neutral-atom scattering factors, no anomalous dispersion.

Structural model:
Cell: 10.8168 10.8168 3.6589 Å, 90.00 90.00 120.00°
Space group P-6 (No. 174)
One atom of each set of equivalent atoms:
Nb: 0.0557 0.2325 0.0000
Nb: 0.1533 0.7190 0.5000
In: 0.6667 0.3333 0.5000
Te: 0.0000 0.0000 0.5000
Te: 0.0050 0.3983 0.5000
Te: 0.3320 0.2679 0.0000
Te: 0.3333 0.6667 0.0000

The 8 most intense peaks (10 to 90 degrees two-theta), most intense first:
2.544 Å, 35.3 deg, I 100
2.598 Å, 34.5 deg, I 75
2.883 Å, 31.0 deg, I 67
3.123 Å, 28.6 deg, I 50
2.175 Å, 41.5 deg, I 35
1.257 Å, 75.7 deg, I 34
1.853 Å, 49.2 deg, I 27
1.496 Å, 62.0 deg, I 27



# 4
La6Tl2RuPt: computed powder diffraction line list (copper Kα), based on a structure optimized by DFT (PBE).
Neutral-atom scattering factors, no anomalous dispersion.

Structural model:
Cell: 11.1636 11.1600 7.8998 Å, 90.00 134.87 90.00°
Space group C2/m (No. 12)
One atom of each set of equivalent atoms:
La: 0.0000 0.2455 0.0000
La: 0.2453 0.0000 0.9999
La: 0.2457 0.0000 0.4917
Tl: 0.0000 0.2500 0.5000
Ru: 0.0000 0.0000 0.0000
Pt: 0.0000 0.5000 0.0000

The 8 most intense peaks (10 to 90 degrees two-theta), most intense first:
3.226 Å, 27.7 deg, I 100
2.795 Å, 32.0 deg, I 92
1.976 Å, 45.9 deg, I 68
3.950 Å, 22.5 deg, I 51
2.790 Å, 32.1 deg, I 46
1.613 Å, 57.1 deg, I 35
1.973 Å, 46.0 deg, I 34
1.683 Å, 54.5 deg, I 30



# 5
Sm4TlSe3: computed powder diffraction line list (copper Kα), based on a structure optimized by DFT (PBE).
Neutral-atom scattering factors, no anomalous dispersion.

Structural model:
Cell: 6.0290 6.0290 12.0339 Å, 90.00 90.00 90.00°
Space group I4/mmm (No. 139)
One atom of each set of equivalent atoms:
Sm: 0.0000 0.0000 0.2445
Sm: 0.0000 0.5000 0.0000
Tl: 0.0000 0.0000 0.5000
Se: 0.0000 0.0000 0.0000
Se: 0.0000 0.5000 0.2500

The 8 most intense peaks (10 to 90 degrees two-theta), most intense first:
3.013 Å, 29.7 deg, I 100
2.130 Å, 42.4 deg, I 75
1.739 Å, 52.6 deg, I 27
1.230 Å, 77.6 deg, I 25
1.348 Å, 69.8 deg, I 23
1.346 Å, 69.9 deg, I 11
1.507 Å, 61.5 deg, I 8
5.390 Å, 16.4 deg, I 6



# 6
Ga3Ag6Hg: computed powder diffraction line list (copper Kα), based on a structure optimized by DFT (PBE).
Neutral-atom scattering factors, no anomalous dispersion.

Structural model:
Cell: 9.2237 12.5849 6.5930 Å, 90.00 90.00 90.00°
Space group Cmc2_1 (No. 36)
One atom of each set of equivalent atoms:
Ga: 0.0000 0.0491 0.0000
Ga: 0.1454 0.3718 0.1033
Ag: 0.0000 0.2028 0.2903
Ag: 0.0000 0.4533 0.4654
Ag: 0.2208 0.0343 0.2953
Ag: 0.2456 0.1876 0.9693
Hg: 0.0000 0.2512 0.7219

The 8 most intense peaks (10 to 90 degrees two-theta), most intense first:
2.467 Å, 36.4 deg, I 100
2.418 Å, 37.2 deg, I 57
2.306 Å, 39.1 deg, I 23
3.304 Å, 27.0 deg, I 21
2.277 Å, 39.6 deg, I 18
2.075 Å, 43.6 deg, I 16
2.057 Å, 44.0 deg, I 15
2.721 Å, 32.9 deg, I 13



# 7
Ac2LaAl4: computed powder diffraction line list (copper Kα), based on a structure optimized by DFT (PBE).
Neutral-atom scattering factors, no anomalous dispersion.

Structural model:
Cell: 4.4321 4.6308 20.1385 Å, 90.00 90.00 90.00°
Space group Immm (No. 71)
One atom of each set of equivalent atoms:
Ac: 0.0000 0.0000 0.1852
La: 0.0000 0.5000 0.5000
Al: 0.0000 0.0000 0.3674
Al: 0.0000 0.5000 0.0632

The 8 most intense peaks (10 to 90 degrees two-theta), most intense first:
3.051 Å, 29.3 deg, I 100
3.699 Å, 24.1 deg, I 82
3.039 Å, 29.4 deg, I 72
2.316 Å, 38.9 deg, I 37
1.791 Å, 51.0 deg, I 32
1.963 Å, 46.3 deg, I 30
1.979 Å, 45.9 deg, I 29
3.356 Å, 26.6 deg, I 28